Structure and computed X-ray diffraction stick pattern of AsS4Cl (the PBE geometry in Alexandria; CuKα).
Peak positions follow from Bragg's law for the DFT cell and can differ from measured ones.

Crystal structure
```
data_AsS4Cl
_chemical_formula_sum 'As1 S4 Cl1'
_symmetry_space_group_name_H-M 'P 1'
_symmetry_Int_Tables_number 1
_cell_length_a 4.794
_cell_length_b 5.588
_cell_length_c 7.596
_cell_angle_alpha 83.70
_cell_angle_beta 84.21
_cell_angle_gamma 88.21
loop_
_symmetry_equiv_pos_as_xyz
'x,y,z'
loop_
_atom_site_label
_atom_site_type_symbol
_atom_site_fract_x
_atom_site_fract_y
_atom_site_fract_z
_atom_site_occupancy
As1 As 0.000 0.000 0.000 1
S1 S 0.334 0.687 0.001 1
S2 S 0.660 0.845 0.841 1
S3 S 0.767 0.923 0.282 1
S4 S 0.778 0.246 0.371 1
Cl1 Cl 0.135 0.254 0.504 1
```

Main lines, most intense first (2θ from 5° to 70°):
- 2θ = 20.9°, I = 100.0
- 2θ = 16.0°, I = 99.3
- 2θ = 11.8°, I = 70.2
- 2θ = 24.9°, I = 55.0
- 2θ = 18.8°, I = 51.1
- 2θ = 23.7°, I = 47.5
- 2θ = 31.7°, I = 46.5
- 2θ = 25.5°, I = 40.9
- 2θ = 18.6°, I = 38.5
- 2θ = 28.7°, I = 38.0

=====

Structure and computed X-ray diffraction stick pattern of ScAsSCl2 (the PBE geometry in Alexandria; CuKα).
Peak positions follow from Bragg's law for the DFT cell and can differ from measured ones.

Crystal structure
```
data_ScAsSCl2
_chemical_formula_sum 'Sc1 As1 S1 Cl2'
_symmetry_space_group_name_H-M 'P 4/m m m'
_symmetry_Int_Tables_number 123
_symmetry_space_group_name_Hall '-P 4 2'
_cell_length_a 4.887
_cell_length_b 4.887
_cell_length_c 5.223
_cell_angle_alpha 90.00
_cell_angle_beta 90.00
_cell_angle_gamma 90.00
loop_
_atom_site_label
_atom_site_type_symbol
_atom_site_fract_x
_atom_site_fract_y
_atom_site_fract_z
_atom_site_occupancy
Sc1 Sc 0.000 0.000 0.000 1
As1 As 0.500 0.500 0.500 1
S1 S 0.000 0.000 0.500 1
Cl1 Cl 0.000 0.500 0.000 1
```

Main lines, most intense first (2θ from 5° to 70°):
- 2θ = 31.0°, I = 100.0
- 2θ = 36.8°, I = 83.0
- 2θ = 25.0°, I = 71.6
- 2θ = 51.2°, I = 59.0
- 2θ = 34.3°, I = 50.9
- 2θ = 45.0°, I = 29.4
- 2θ = 25.8°, I = 29.0
- 2θ = 64.7°, I = 27.9
- 2θ = 53.0°, I = 26.4
- 2θ = 62.7°, I = 22.9

=====

Structure and computed X-ray diffraction stick pattern of Sb2AsCl (the PBE geometry in Alexandria; CuKα).
Peak positions follow from Bragg's law for the DFT cell and can differ from measured ones.

Crystal structure
```
data_Sb2AsCl
_chemical_formula_sum 'Sb8 As4 Cl4'
_symmetry_space_group_name_H-M 'P 1 2/c 1'
_symmetry_Int_Tables_number 13
_cell_length_a 6.394
_cell_length_b 6.341
_cell_length_c 14.623
_cell_angle_alpha 90.00
_cell_angle_beta 103.85
_cell_angle_gamma 90.00
loop_
_symmetry_equiv_pos_as_xyz
'x,y,z'
'-x,-y,-z'
'-x,y,-z+1/2'
'x,-y,z+1/2'
loop_
_atom_site_label
_atom_site_type_symbol
_atom_site_fract_x
_atom_site_fract_y
_atom_site_fract_z
_atom_site_occupancy
Sb1 Sb 0.106 0.236 0.051 1
Sb2 Sb 0.266 0.357 0.891 1
As1 As 0.158 0.360 0.616 1
Cl1 Cl 0.300 0.004 0.338 1
```

Main lines, most intense first (2θ from 5° to 70°):
- 2θ = 12.5°, I = 100.0
- 2θ = 28.8°, I = 87.2
- 2θ = 14.3°, I = 78.1
- 2θ = 34.1°, I = 76.5
- 2θ = 22.0°, I = 62.5
- 2θ = 33.5°, I = 61.3
- 2θ = 25.1°, I = 52.8
- 2θ = 47.1°, I = 50.8
- 2θ = 19.9°, I = 49.8
- 2θ = 41.0°, I = 46.0

=====

Structure and computed X-ray diffraction stick pattern of SbAs2Cl13 (the PBE geometry in Alexandria; CuKα).
Peak positions follow from Bragg's law for the DFT cell and can differ from measured ones.

Crystal structure
```
data_SbAs2Cl13
_chemical_formula_sum 'Sb4 As8 Cl52'
_symmetry_space_group_name_H-M 'C m c 21'
_symmetry_Int_Tables_number 36
_cell_length_a 11.048
_cell_length_b 16.352
_cell_length_c 12.317
_cell_angle_alpha 90.00
_cell_angle_beta 90.00
_cell_angle_gamma 90.00
loop_
_symmetry_equiv_pos_as_xyz
'x,y,z'
'-x,-y,z+1/2'
'-x,y,z'
'x,-y,z+1/2'
'x+1/2,y+1/2,z'
'-x+1/2,-y+1/2,z+1/2'
'-x+1/2,y+1/2,z'
'x+1/2,-y+1/2,z+1/2'
loop_
_atom_site_label
_atom_site_type_symbol
_atom_site_fract_x
_atom_site_fract_y
_atom_site_fract_z
_atom_site_occupancy
Sb1 Sb 0.000 0.215 0.000 1
As1 As 0.000 0.145 0.463 1
As2 As 0.000 0.433 0.143 1
Cl1 Cl 0.000 0.089 0.099 1
Cl2 Cl 0.000 0.144 0.634 1
Cl3 Cl 0.000 0.267 0.407 1
Cl4 Cl 0.000 0.348 0.909 1
Cl5 Cl 0.000 0.438 0.327 1
Cl6 Cl 0.153 0.481 0.616 1
Cl7 Cl 0.155 0.084 0.405 1
Cl8 Cl 0.155 0.168 0.879 1
Cl9 Cl 0.155 0.268 0.123 1
```

Main lines, most intense first (2θ from 5° to 70°):
- 2θ = 16.0°, I = 100.0
- 2θ = 12.0°, I = 77.6
- 2θ = 18.1°, I = 69.8
- 2θ = 14.4°, I = 54.8
- 2θ = 17.4°, I = 52.4
- 2θ = 24.2°, I = 48.5
- 2θ = 18.0°, I = 36.6
- 2θ = 47.4°, I = 35.4
- 2θ = 19.5°, I = 34.4
- 2θ = 37.5°, I = 31.6

=====

Structure and computed X-ray diffraction stick pattern of SnAsCl (the PBE geometry in Alexandria; CuKα).
Peak positions follow from Bragg's law for the DFT cell and can differ from measured ones.

Crystal structure
```
data_SnAsCl
_chemical_formula_sum 'Sn4 As4 Cl4'
_symmetry_space_group_name_H-M 'P n n m'
_symmetry_Int_Tables_number 58
_cell_length_a 5.975
_cell_length_b 15.190
_cell_length_c 4.130
_cell_angle_alpha 90.00
_cell_angle_beta 90.00
_cell_angle_gamma 90.00
loop_
_symmetry_equiv_pos_as_xyz
'x,y,z'
'-x,-y,-z'
'-x,-y,z'
'x,y,-z'
'x+1/2,-y+1/2,-z+1/2'
'-x+1/2,y+1/2,z+1/2'
'-x+1/2,y+1/2,-z+1/2'
'x+1/2,-y+1/2,z+1/2'
loop_
_atom_site_label
_atom_site_type_symbol
_atom_site_fract_x
_atom_site_fract_y
_atom_site_fract_z
_atom_site_occupancy
Sn1 Sn 0.012 0.199 0.000 1
As1 As 0.230 0.652 0.000 1
Cl1 Cl 0.239 0.418 0.500 1
```

Main lines, most intense first (2θ from 5° to 70°):
- 2θ = 11.7°, I = 100.0
- 2θ = 41.3°, I = 51.5
- 2θ = 28.8°, I = 48.0
- 2θ = 26.2°, I = 47.9
- 2θ = 23.0°, I = 31.8
- 2θ = 48.1°, I = 29.9
- 2θ = 26.9°, I = 29.6
- 2θ = 33.1°, I = 24.2
- 2θ = 47.3°, I = 23.1
- 2θ = 27.8°, I = 21.8

=====

Structure and computed X-ray diffraction stick pattern of Sr4Te2AsCl (the PBE geometry in Alexandria; CuKα).
Peak positions follow from Bragg's law for the DFT cell and can differ from measured ones.

Crystal structure
```
data_Sr4Te2AsCl
_chemical_formula_sum 'Sr4 Te2 As1 Cl1'
_symmetry_space_group_name_H-M 'P 1 2/m 1'
_symmetry_Int_Tables_number 10
_cell_length_a 7.931
_cell_length_b 4.637
_cell_length_c 7.995
_cell_angle_alpha 90.00
_cell_angle_beta 108.81
_cell_angle_gamma 90.00
loop_
_symmetry_equiv_pos_as_xyz
'x,y,z'
'-x,-y,-z'
'-x,y,-z'
'x,-y,z'
loop_
_atom_site_label
_atom_site_type_symbol
_atom_site_fract_x
_atom_site_fract_y
_atom_site_fract_z
_atom_site_occupancy
Sr1 Sr 0.233 0.000 0.230 1
Sr2 Sr 0.236 0.500 0.758 1
Te1 Te 0.000 0.000 0.500 1
Te2 Te 0.500 0.500 0.500 1
As1 As 0.000 0.500 0.000 1
Cl1 Cl 0.500 0.000 0.000 1
```

Main lines, most intense first (2θ from 5° to 70°):
- 2θ = 27.2°, I = 100.0
- 2θ = 27.6°, I = 48.1
- 2θ = 38.9°, I = 37.6
- 2θ = 39.0°, I = 37.1
- 2θ = 39.2°, I = 36.3
- 2θ = 63.5°, I = 25.0
- 2θ = 48.3°, I = 20.1
- 2θ = 56.1°, I = 12.3
- 2θ = 11.7°, I = 10.6
- 2θ = 48.1°, I = 9.6

=====

Structure and computed X-ray diffraction stick pattern of TaAs2Cl (the PBE geometry in Alexandria; CuKα).
Peak positions follow from Bragg's law for the DFT cell and can differ from measured ones.

Crystal structure
```
data_TaAs2Cl
_chemical_formula_sum 'Ta1 As2 Cl1'
_symmetry_space_group_name_H-M 'P 1 m 1'
_symmetry_Int_Tables_number 6
_cell_length_a 3.404
_cell_length_b 3.310
_cell_length_c 8.406
_cell_angle_alpha 90.00
_cell_angle_beta 101.53
_cell_angle_gamma 90.00
loop_
_symmetry_equiv_pos_as_xyz
'x,y,z'
'x,-y,z'
loop_
_atom_site_label
_atom_site_type_symbol
_atom_site_fract_x
_atom_site_fract_y
_atom_site_fract_z
_atom_site_occupancy
Ta1 Ta 0.000 0.000 0.000 1
As1 As 0.428 0.500 0.854 1
As2 As 0.835 0.000 0.667 1
Cl1 Cl 0.112 0.500 0.227 1
```

Main lines, most intense first (2θ from 5° to 70°):
- 2θ = 10.7°, I = 100.0
- 2θ = 38.3°, I = 35.6
- 2θ = 42.8°, I = 18.9
- 2θ = 26.7°, I = 17.0
- 2θ = 34.8°, I = 15.3
- 2θ = 41.5°, I = 10.0
- 2θ = 47.2°, I = 9.3
- 2θ = 38.1°, I = 7.5
- 2θ = 38.0°, I = 7.4
- 2θ = 46.9°, I = 6.2

=====

Structure and computed X-ray diffraction stick pattern of UAsCl3 (the PBE geometry in Alexandria; CuKα).
Peak positions follow from Bragg's law for the DFT cell and can differ from measured ones.

Crystal structure
```
data_UAsCl3
_chemical_formula_sum 'U4 As4 Cl12'
_symmetry_space_group_name_H-M 'P 1 2/c 1'
_symmetry_Int_Tables_number 13
_cell_length_a 7.457
_cell_length_b 7.371
_cell_length_c 14.172
_cell_angle_alpha 90.00
_cell_angle_beta 91.03
_cell_angle_gamma 90.00
loop_
_symmetry_equiv_pos_as_xyz
'x,y,z'
'-x,-y,-z'
'-x,y,-z+1/2'
'x,-y,z+1/2'
loop_
_atom_site_label
_atom_site_type_symbol
_atom_site_fract_x
_atom_site_fract_y
_atom_site_fract_z
_atom_site_occupancy
U1 U 0.083 0.100 0.129 1
As1 As 0.140 0.405 0.280 1
Cl1 Cl 0.106 0.213 0.526 1
Cl2 Cl 0.217 0.058 0.788 1
Cl3 Cl 0.376 0.221 0.071 1
```

Main lines, most intense first (2θ from 5° to 70°):
- 2θ = 11.9°, I = 100.0
- 2θ = 12.0°, I = 43.0
- 2θ = 13.5°, I = 42.5
- 2θ = 39.1°, I = 24.6
- 2θ = 33.0°, I = 22.2
- 2θ = 16.9°, I = 22.0
- 2θ = 18.1°, I = 21.5
- 2θ = 27.9°, I = 17.6
- 2θ = 30.8°, I = 16.8
- 2θ = 17.4°, I = 16.5

=====

Structure and computed X-ray diffraction stick pattern of Y2AsCl2 (the PBE geometry in Alexandria; CuKα).
Peak positions follow from Bragg's law for the DFT cell and can differ from measured ones.

Crystal structure
```
data_Y2AsCl2
_chemical_formula_sum 'Y6 As3 Cl6'
_symmetry_space_group_name_H-M 'R -3 m'
_symmetry_Int_Tables_number 166
_symmetry_space_group_name_Hall '-R 3 2"'
_cell_length_a 4.0286
_cell_length_b 4.0286
_cell_length_c 30.5627
_cell_angle_alpha 90.00
_cell_angle_beta 90.00
_cell_angle_gamma 120.00
loop_
_atom_site_label
_atom_site_type_symbol
_atom_site_fract_x
_atom_site_fract_y
_atom_site_fract_z
_atom_site_occupancy
Y1 Y 0.0000 0.0000 0.1142 1
As1 As 0.0000 0.0000 0.5000 1
Cl1 Cl 0.0000 0.0000 0.2718 1
```

Main lines, most intense first (2θ from 5° to 70°):
- 2θ = 8.7°, I = 100.0
- 2θ = 29.5°, I = 68.9
- 2θ = 34.8°, I = 37.4
- 2θ = 45.0°, I = 27.2
- 2θ = 46.6°, I = 24.1
- 2θ = 54.7°, I = 13.4
- 2θ = 39.2°, I = 12.0
- 2θ = 45.9°, I = 10.8
- 2θ = 58.1°, I = 8.0
- 2θ = 66.8°, I = 7.9

=====

Structure and computed X-ray diffraction stick pattern of Co2As3 (the PBE geometry in Alexandria; CuKα).
Peak positions follow from Bragg's law for the DFT cell and can differ from measured ones.

Crystal structure
```
data_Co2As3
_chemical_formula_sum 'Co12 As18'
_symmetry_space_group_name_H-M 'R -3 c'
_symmetry_Int_Tables_number 167
_symmetry_space_group_name_Hall '-R 3 2"c'
_cell_length_a 6.0566
_cell_length_b 6.0566
_cell_length_c 14.6750
_cell_angle_alpha 90.00
_cell_angle_beta 90.00
_cell_angle_gamma 120.00
loop_
_atom_site_label
_atom_site_type_symbol
_atom_site_fract_x
_atom_site_fract_y
_atom_site_fract_z
_atom_site_occupancy
Co1 Co 0.0000 0.0000 0.1627 1
As1 As 0.0000 0.3365 0.2500 1
```

Main lines, most intense first (2θ from 5° to 70°):
- 2θ = 34.8°, I = 100.0
- 2θ = 47.8°, I = 56.1
- 2θ = 52.3°, I = 47.4
- 2θ = 64.4°, I = 16.3
- 2θ = 65.0°, I = 15.9
- 2θ = 20.8°, I = 13.9
- 2θ = 29.7°, I = 10.8
- 2θ = 65.6°, I = 5.1
- 2θ = 36.4°, I = 4.2
- 2θ = 36.7°, I = 4.2

=====

Structure and computed X-ray diffraction stick pattern of CoAs3 (the PBE geometry in Alexandria; CuKα).
Peak positions follow from Bragg's law for the DFT cell and can differ from measured ones.

Crystal structure
```
data_CoAs3
_chemical_formula_sum 'Co8 As24'
_symmetry_space_group_name_H-M 'I m -3'
_symmetry_Int_Tables_number 204
_symmetry_space_group_name_Hall '-I 2 2 3'
_cell_length_a 8.269
_cell_length_b 8.269
_cell_length_c 8.269
_cell_angle_alpha 90.00
_cell_angle_beta 90.00
_cell_angle_gamma 90.00
loop_
_atom_site_label
_atom_site_type_symbol
_atom_site_fract_x
_atom_site_fract_y
_atom_site_fract_z
_atom_site_occupancy
Co1 Co 0.250 0.250 0.250 1
As1 As 0.000 0.152 0.341 1
```

Main lines, most intense first (2θ from 5° to 70°):
- 2θ = 34.3°, I = 100.0
- 2θ = 49.3°, I = 35.2
- 2θ = 40.8°, I = 30.7
- 2θ = 56.8°, I = 29.0
- 2θ = 54.4°, I = 21.2
- 2θ = 65.9°, I = 15.0
- 2θ = 15.2°, I = 11.3
- 2θ = 26.4°, I = 10.4
- 2θ = 21.5°, I = 9.7
- 2θ = 51.9°, I = 9.1

=====

Structure and computed X-ray diffraction stick pattern of CoAs8 (the PBE geometry in Alexandria; CuKα).
Peak positions follow from Bragg's law for the DFT cell and can differ from measured ones.

Crystal structure
```
data_CoAs8
_chemical_formula_sum 'Co2 As16'
_symmetry_space_group_name_H-M 'I 4/m m m'
_symmetry_Int_Tables_number 139
_symmetry_space_group_name_Hall '-I 4 2'
_cell_length_a 10.635
_cell_length_b 10.635
_cell_length_c 3.373
_cell_angle_alpha 90.00
_cell_angle_beta 90.00
_cell_angle_gamma 90.00
loop_
_atom_site_label
_atom_site_type_symbol
_atom_site_fract_x
_atom_site_fract_y
_atom_site_fract_z
_atom_site_occupancy
Co1 Co 0.000 0.000 0.000 1
As1 As 0.000 0.358 0.000 1
As2 As 0.120 0.120 0.500 1
```

Main lines, most intense first (2θ from 5° to 70°):
- 2θ = 36.8°, I = 100.0
- 2θ = 16.7°, I = 49.5
- 2θ = 35.8°, I = 38.1
- 2θ = 50.7°, I = 37.3
- 2θ = 50.0°, I = 21.1
- 2θ = 40.6°, I = 15.8
- 2θ = 54.4°, I = 11.9
- 2θ = 66.9°, I = 11.8
- 2θ = 62.3°, I = 11.4
- 2θ = 33.7°, I = 11.1

=====

Copy entry 7 word for word.
Structure and computed X-ray diffraction stick pattern of TaAs2Cl (the PBE geometry in Alexandria; CuKα).
Peak positions follow from Bragg's law for the DFT cell and can differ from measured ones.

Crystal structure
```
data_TaAs2Cl
_chemical_formula_sum 'Ta1 As2 Cl1'
_symmetry_space_group_name_H-M 'P 1 m 1'
_symmetry_Int_Tables_number 6
_cell_length_a 3.404
_cell_length_b 3.310
_cell_length_c 8.406
_cell_angle_alpha 90.00
_cell_angle_beta 101.53
_cell_angle_gamma 90.00
loop_
_symmetry_equiv_pos_as_xyz
'x,y,z'
'x,-y,z'
loop_
_atom_site_label
_atom_site_type_symbol
_atom_site_fract_x
_atom_site_fract_y
_atom_site_fract_z
_atom_site_occupancy
Ta1 Ta 0.000 0.000 0.000 1
As1 As 0.428 0.500 0.854 1
As2 As 0.835 0.000 0.667 1
Cl1 Cl 0.112 0.500 0.227 1
```

Main lines, most intense first (2θ from 5° to 70°):
- 2θ = 10.7°, I = 100.0
- 2θ = 38.3°, I = 35.6
- 2θ = 42.8°, I = 18.9
- 2θ = 26.7°, I = 17.0
- 2θ = 34.8°, I = 15.3
- 2θ = 41.5°, I = 10.0
- 2θ = 47.2°, I = 9.3
- 2θ = 38.1°, I = 7.5
- 2θ = 38.0°, I = 7.4
- 2θ = 46.9°, I = 6.2